Structure and theoretical X-ray diffraction stick pattern of MgTiCrP3O12 (a PBE+U-relaxed structure; Cu Kα X-rays).
No peak broadening, texture or thermal motion is included.

Most intense lines, 2θ from 5° to 70°, in order of falling intensity:
- d = 3.655 Å, 24.36°, rel. 100, (1 1 3)
- d = 4.298 Å, 20.66°, rel. 40, (1 1 0)
- d = 2.701 Å, 33.17°, rel. 39, (1 1 6)
- d = 2.480 Å, 36.22°, rel. 29, (3 0 0)
- d = 4.267 Å, 20.82°, rel. 22, (1 0 4)
- d = 1.911 Å, 47.58°, rel. 20, (1 2 8)
- d = 1.624 Å, 56.67°, rel. 18, (4 1 0)
- d = 3.028 Å, 29.50°, rel. 17, (0 2 4)
- d = 2.789 Å, 32.10°, rel. 16, (2 1 1)
- d = 1.827 Å, 49.91°, rel. 16, (2 2 6)

Cell: 8.5967 8.5967 20.8271 Å, 90.00 90.00 120.00°
Space group R3c (No. 161, hexagonal axes)
Inequivalent atoms, fractional coordinates:
Mg 0.0000 0.0000 0.0000 x6
Ti 0.0000 0.0000 0.3542 x6
Cr 0.0000 0.0000 0.1407 x6
P 0.0003 0.2942 0.2476 x18
O 0.0029 0.1903 0.3089 x18
O 0.0210 0.1835 0.9231 x18
O 0.1381 0.4687 0.8542 x18
O 0.1674 0.4847 0.2421 x18